Record 1
For Hf6Ga10Fe, a crystal structure in Alexandria, relaxed with PBE gives the simulated powder diffraction line list in this record (Cu Kα X-rays).

Crystal structure
```
Hf6Ga10Fe
1.0
8.0337 0.0000 0.0000
-4.0168 6.9574 0.0000
0.0000 0.0000 5.4515
Hf Ga Fe
6 10 1
Direct
0.0000 0.3922 0.2647
0.0000 0.6078 0.7353
0.3922 0.0000 0.2647
0.3922 0.3922 0.7353
0.6078 0.0000 0.7353
0.6078 0.6078 0.2647
0.0000 0.2337 0.7893
0.0000 0.7663 0.2107
0.2337 0.0000 0.7893
0.2337 0.2337 0.2107
0.3333 0.6667 0.0000
0.3333 0.6667 0.5000
0.6667 0.3333 0.0000
0.6667 0.3333 0.5000
0.7663 0.0000 0.2107
0.7663 0.7663 0.7893
0.0000 0.0000 0.5000
```

Most intense lines, 10 to 90 degrees two-theta, by intensity:
2θ/deg, I/Imax
38.0, 100.0
40.0, 70.7
27.6, 57.1
38.8, 48.5
50.2, 31.0
32.9, 25.2
76.9, 21.1
48.3, 19.5
62.1, 18.1
42.1, 14.1
67.3, 12.7
71.3, 12.3



Record 2
For CePrThMg, a crystal structure in Alexandria, relaxed with PBE gives the simulated powder diffraction line list in this record (Cu Kα X-rays).

Crystal structure
```
CePrThMg
1.0
0.0000 3.9109 3.9109
3.9109 0.0000 3.9109
3.9109 3.9109 0.0000
Ce Pr Th Mg
1 1 1 1
Direct
0.0000 0.0000 0.0000
0.7500 0.7500 0.7500
0.2500 0.2500 0.2500
0.5000 0.5000 0.5000
```

Most intense lines, 10 to 90 degrees two-theta, by intensity:
2θ/deg, I/Imax
32.4, 100.0
57.7, 38.8
46.4, 18.5
22.7, 16.8
77.1, 16.7
19.7, 15.4
67.8, 12.0
38.2, 8.9
52.3, 7.7
39.9, 5.4
86.1, 4.3
50.9, 4.0